The following is a computed powder diffraction line list of Tl2PtC4N4. It was derived from a crystal structure in the Materials Project, relaxed with GGA-PBE, using Cu Kα X-rays.
Kinematic intensities with the Lorentz-polarization factor, no thermal factor.

Peak list (8 most intense, 2θ from 10° to 90°, by angle)
hkl 0 0 2, 2θ 19.13, intensity 48; hkl 1 0 -2, 2θ 19.33, intensity 100; hkl 1 1 1, 2θ 24.10, intensity 49; hkl 1 2 -1, 2θ 28.19, intensity 39; hkl 1 2 0, 2θ 28.56, intensity 26; hkl 2 1 -1, 2θ 30.79, intensity 33; hkl 1 0 -4, 2θ 35.74, intensity 29; hkl 0 3 1, 2θ 37.73, intensity 38

Cell and atoms:
```
data_Tl2PtC4N4
_cell_length_a 6.3334
_cell_length_b 7.3978
_cell_length_c 10.0505
_cell_angle_alpha 90.00
_cell_angle_beta 112.62
_cell_angle_gamma 90.00
_space_group_name_H-M_alt 'P 1 21/c 1'
_space_group_IT_number 14
_space_group_name_Hall '-P 2ybc'
loop_
_atom_site_label
_atom_site_type_symbol
_atom_site_fract_x
_atom_site_fract_y
_atom_site_fract_z
Tl1 Tl 0.1888 0.1534 0.4185
Pt1 Pt 0.5000 0.0000 0.0000
C1 C 0.2222 0.6585 0.4343
C2 C 0.4928 0.5018 0.2996
N1 N 0.0688 0.7384 0.8936
N2 N 0.4846 0.0064 0.6814
```